Starting from a crystal structure in Alexandria, relaxed with GGA-PBE, the powder diffractogram of Pm2Ti3O9 was calculated for CuKα.

Top 10 peaks for 2θ = 10–90°, sorted by position:
2θ/deg, Rel. int.
15.0, 31
21.6, 71
30.5, 100
31.3, 18
41.2, 21
44.1, 18
46.0, 23
55.2, 20
56.2, 17
56.7, 18

Atomic structure:
a = 6.831 Å, b = 6.831 Å, c = 11.422 Å
α = 90.00°, β = 90.00°, γ = 120.00°
Positions (direct):
Pm: 0.333 0.667 0.003
Pm: 0.333 0.667 0.497
Pm: 0.667 0.333 0.503
Pm: 0.667 0.333 0.997
Ti: 0.008 0.723 0.750
Ti: 0.277 0.285 0.750
Ti: 0.285 0.008 0.250
Ti: 0.715 0.992 0.750
Ti: 0.723 0.715 0.250
Ti: 0.992 0.277 0.250
O: 0.007 0.590 0.610
O: 0.007 0.590 0.890
O: 0.008 0.756 0.250
O: 0.244 0.252 0.250
O: 0.252 0.008 0.750
O: 0.410 0.417 0.610
O: 0.410 0.417 0.890
O: 0.417 0.007 0.110
O: 0.417 0.007 0.390
O: 0.583 0.993 0.610
O: 0.583 0.993 0.890
O: 0.590 0.583 0.110
O: 0.590 0.583 0.390
O: 0.748 0.992 0.250
O: 0.756 0.748 0.750
O: 0.992 0.244 0.750
O: 0.993 0.410 0.110
O: 0.993 0.410 0.390